The following is a simulated powder diffractogram of AcLa9Dy4. It was derived from a PBE-relaxed structure, using CuKα.
No peak broadening, texture or thermal motion is included.

Largest 10 diffraction maxima, in order of falling intensity, 2θ from 15° to 90°:
two_theta  intensity  (hkl)
31.09  100  2 1 2
31.67  36  3 0 1
30.46  34  0 0 4
30.69  29  2 0 3
54.85  20  5 0 2
63.83  20  3 3 4
49.91  20  3 0 5
54.51  17  2 1 6
54.62  17  3 3 0
35.61  16  2 2 0

Unit cell a=10.0822 b=10.0822 c=11.7390 alpha=90.00 beta=90.00 gamma=120.00
Space group P6_3/mmc (No. 194)
Inequivalent atoms, fractional coordinates:
Ac (0.3333, 0.6667, 0.2500) (multiplicity 2)
La (0.0879, 0.5439, 0.7500) (multiplicity 6)
La (0.2042, 0.4084, 0.0243) (multiplicity 12)
Dy (0.0000, 0.0000, 0.0000) (multiplicity 2)
Dy (0.1097, 0.2194, 0.7500) (multiplicity 6)